For Cs5AuSe, a cell relaxed with GGA-PBE gives the calculated X-ray diffraction stick pattern in this record (a wavelength of 1.5418 Å).

Peak list (6 most intense, 2θ from 5° to 70°, by intensity)
(hkl)	2theta	I/Imax
1 0 -1	9.8	1000
1 1 2	21.7	766
2 1 1	24.5	638
2 0 3	23.7	580
0 2 0	33.6	398
2 1 -1	24.3	331

Atomic structure:
```
data_Cs5AuSe
_cell_length_a 10.5135
_cell_length_b 5.3323
_cell_length_c 16.5801
_cell_angle_alpha 90.00
_cell_angle_beta 91.51
_cell_angle_gamma 90.00
_symmetry_space_group_name_H-M 'P 1 21/m 1'
_symmetry_Int_Tables_number 11
loop_
_symmetry_equiv_pos_as_xyz
'x,y,z'
'-x,-y,-z'
'-x,y+1/2,-z'
'x,-y+1/2,z'
loop_
_atom_site_label
_atom_site_type_symbol
_atom_site_fract_x
_atom_site_fract_y
_atom_site_fract_z
Cs1 Cs 0.0922 0.2500 0.3189
Cs2 Cs 0.1309 0.7500 0.9253
Cs3 Cs 0.3333 0.7500 0.4808
Cs4 Cs 0.3521 0.2500 0.1367
Cs5 Cs 0.3795 0.2500 0.7116
Au1 Au 0.0928 0.7500 0.1481
Se1 Se 0.4291 0.2500 0.3524
```